[1]
Theoretical powder diffractogram of SmZrCd2 for copper Kα, from DFT lattice parameters and positions (GGA-PBE).
Lines closer than 0.1° are merged.

Largest 10 diffraction maxima, low angle first, 10 to 90 degrees two-theta:
| Position (°2θ) | intensity |
| --- | --- |
| 33.61 | 57 |
| 35.30 | 100 |
| 48.27 | 20 |
| 53.19 | 8 |
| 61.20 | 39 |
| 64.41 | 17 |
| 74.65 | 11 |
| 80.56 | 9 |
| 81.53 | 8 |
| 89.17 | 7 |

Atomic structure:
a b c (Å): 5.332 5.332 3.444
angles (deg): 90.00 90.00 90.00
Space group P4/mmm (No. 123)
Inequivalent atoms, fractional coordinates:
1 Sm 0.000 0.000 0.000
2 Zr 0.500 0.500 0.000
3 Cd 0.000 0.500 0.500

---

[2]
Theoretical powder diffractogram of Sm4ZrCd5 for copper Kα, from DFT lattice parameters and positions (GGA-PBE).
Lines closer than 0.1° are merged.

Largest 10 diffraction maxima, low angle first, 10 to 90 degrees two-theta:
| Position (°2θ) | intensity |
| --- | --- |
| 30.48 | 6 |
| 33.71 | 100 |
| 33.87 | 54 |
| 48.19 | 7 |
| 48.65 | 19 |
| 60.20 | 14 |
| 60.50 | 36 |
| 70.90 | 8 |
| 71.26 | 6 |
| 81.24 | 16 |

Atomic structure:
a b c (Å): 3.743 3.743 18.883
angles (deg): 90.00 90.00 90.00
Space group P4/mmm (No. 123)
Inequivalent atoms, fractional coordinates:
1 Sm 0.000 0.000 0.104
2 Sm 0.000 0.000 0.312
3 Zr 0.000 0.000 0.500
4 Cd 0.500 0.500 0.000
5 Cd 0.500 0.500 0.208
6 Cd 0.500 0.500 0.415

---

[3]
Theoretical powder diffractogram of Cd11Sn for copper Kα, from DFT lattice parameters and positions (GGA-PBE).
Lines closer than 0.1° are merged.

Largest 10 diffraction maxima, low angle first, 10 to 90 degrees two-theta:
| Position (°2θ) | intensity |
| --- | --- |
| 28.81 | 19 |
| 32.82 | 100 |
| 35.64 | 18 |
| 38.70 | 80 |
| 40.49 | 21 |
| 41.54 | 8 |
| 58.60 | 26 |
| 62.56 | 10 |
| 65.83 | 10 |
| 68.83 | 17 |

Atomic structure:
a b c (Å): 12.197 12.197 7.724
angles (deg): 90.00 90.00 90.00
Space group I4_1/amd (No. 141, origin choice 2)
Inequivalent atoms, fractional coordinates:
1 Cd 0.000 0.000 0.000
2 Cd 0.000 0.250 0.875
3 Cd 0.120 0.051 0.670
4 Sn 0.000 0.250 0.375

---

[4]
Theoretical powder diffractogram of CdSn3 for copper Kα, from DFT lattice parameters and positions (GGA-PBE).
Lines closer than 0.1° are merged.

Largest 10 diffraction maxima, low angle first, 10 to 90 degrees two-theta:
| Position (°2θ) | intensity |
| --- | --- |
| 32.66 | 100 |
| 37.48 | 35 |
| 38.70 | 16 |
| 54.04 | 12 |
| 54.96 | 23 |
| 64.59 | 29 |
| 66.24 | 13 |
| 68.43 | 12 |
| 79.95 | 4 |
| 89.06 | 7 |

Atomic structure:
a b c (Å): 3.394 3.394 9.308
angles (deg): 90.00 90.00 90.00
Space group P4/mmm (No. 123)
Inequivalent atoms, fractional coordinates:
1 Cd 0.000 0.000 0.000
2 Sn 0.000 0.000 0.500
3 Sn 0.500 0.500 0.243

---

[5]
Theoretical powder diffractogram of Cd5Sn for copper Kα, from DFT lattice parameters and positions (GGA-PBE).
Lines closer than 0.1° are merged.

Largest 10 diffraction maxima, low angle first, 10 to 90 degrees two-theta:
| Position (°2θ) | intensity |
| --- | --- |
| 33.37 | 100 |
| 34.73 | 91 |
| 38.21 | 35 |
| 40.04 | 30 |
| 40.30 | 30 |
| 56.54 | 21 |
| 56.74 | 21 |
| 66.01 | 13 |
| 66.84 | 13 |
| 70.11 | 22 |

Atomic structure:
a b c (Å): 10.298 4.710 6.178
angles (deg): 90.00 107.81 90.00
Space group C2/m (No. 12)
Inequivalent atoms, fractional coordinates:
1 Cd 0.000 0.000 0.000
2 Cd 0.163 0.500 0.328
3 Cd 0.175 0.500 0.835
4 Sn 0.000 0.000 0.500

---

[6]
Theoretical powder diffractogram of CdSn3 for copper Kα, from DFT lattice parameters and positions (GGA-PBE).
Lines closer than 0.1° are merged.

Largest 10 diffraction maxima, low angle first, 10 to 90 degrees two-theta:
| Position (°2θ) | intensity |
| --- | --- |
| 30.26 | 24 |
| 33.72 | 24 |
| 34.75 | 100 |
| 45.94 | 15 |
| 53.76 | 19 |
| 60.98 | 20 |
| 64.98 | 22 |
| 65.62 | 16 |
| 85.63 | 8 |
| 89.77 | 15 |

Atomic structure:
a b c (Å): 3.409 10.631 5.909
angles (deg): 90.00 90.00 90.00
Space group Imm2 (No. 44)
Inequivalent atoms, fractional coordinates:
1 Cd 0.000 0.000 0.000
2 Sn 0.000 0.252 0.676
3 Sn 0.000 0.500 0.002